Entry 1:
# CaGa6Co2
Calculated PXRD pattern, Cu Kα (λ = 1.5418 Å). Input: a DFT-relaxed cell (PBE, Alexandria).

Cell and atoms:
Cell lengths 8.2456, 8.2456, 8.2456 Å; angles 60.00, 60.00, 60.00 degrees
Element x y z (fractional)
Ca 0.1250 0.1250 0.1250
Ca 0.8750 0.8750 0.8750
Ga 0.1609 0.1609 0.5891
Ga 0.1609 0.5891 0.1609
Ga 0.1609 0.5891 0.5891
Ga 0.4109 0.4109 0.8391
Ga 0.4109 0.8391 0.4109
Ga 0.4109 0.8391 0.8391
Ga 0.5891 0.1609 0.1609
Ga 0.5891 0.1609 0.5891
Ga 0.5891 0.5891 0.1609
Ga 0.8391 0.4109 0.4109
Ga 0.8391 0.4109 0.8391
Ga 0.8391 0.8391 0.4109
Co 0.0000 0.5000 0.5000
Co 0.5000 0.0000 0.5000
Co 0.5000 0.5000 0.0000
Co 0.5000 0.5000 0.5000

Most intense lines, 2θ from 5° to 70°, in order of falling intensity:
2θ 43.92, intensity 100.0; 2θ 13.15, intensity 57.4; 2θ 30.67, intensity 51.1; 2θ 25.33, intensity 45.8; 2θ 61.04, intensity 33.1; 2θ 40.18, intensity 31.7; 2θ 56.34, intensity 23.0; 2θ 37.80, intensity 22.0

***

Entry 2:
# CaGaCo
Calculated PXRD pattern, Cu Kα (λ = 1.5418 Å). Input: a DFT-relaxed cell (PBE, Alexandria).

Cell and atoms:
Cell lengths 6.5945, 8.4485, 4.2820 Å; angles 90.00, 90.00, 90.00 degrees
Element x y z (fractional)
Ca 0.1857 0.0885 0.2500
Ca 0.1857 0.4115 0.7500
Ca 0.8143 0.5885 0.2500
Ca 0.8143 0.9115 0.7500
Ga 0.3342 0.6436 0.2500
Ga 0.3342 0.8564 0.7500
Ga 0.6658 0.1436 0.2500
Ga 0.6658 0.3564 0.7500
Co 0.4665 0.1209 0.7500
Co 0.4665 0.3791 0.2500
Co 0.5335 0.6209 0.7500
Co 0.5335 0.8791 0.2500

Most intense lines, 2θ from 5° to 70°, in order of falling intensity:
2θ 13.43, intensity 100.0; 2θ 40.60, intensity 53.2; 2θ 35.98, intensity 38.4; 2θ 42.21, intensity 29.5; 2θ 42.81, intensity 19.2; 2θ 40.71, intensity 14.9; 2θ 47.47, intensity 14.6; 2θ 51.50, intensity 14.3

***

Entry 3:
# CaGa5Co2
Calculated PXRD pattern, Cu Kα (λ = 1.5418 Å). Input: a DFT-relaxed cell (PBE, Alexandria).

Cell and atoms:
Cell lengths 3.9009, 6.9690, 9.9509 Å; angles 90.00, 90.00, 90.00 degrees
Element x y z (fractional)
Ca 0.0000 0.0000 0.0000
Ca 0.5000 0.5000 0.5000
Ga 0.0000 0.1984 0.3443
Ga 0.0000 0.1984 0.6557
Ga 0.0000 0.5000 0.0000
Ga 0.0000 0.8016 0.3443
Ga 0.0000 0.8016 0.6557
Ga 0.5000 0.0000 0.5000
Ga 0.5000 0.3016 0.1557
Ga 0.5000 0.3016 0.8443
Ga 0.5000 0.6984 0.1557
Ga 0.5000 0.6984 0.8443
Co 0.0000 0.5000 0.2311
Co 0.0000 0.5000 0.7689
Co 0.5000 0.0000 0.2689
Co 0.5000 0.0000 0.7311

Most intense lines, 2θ from 5° to 70°, in order of falling intensity:
2θ 35.71, intensity 100.0; 2θ 35.53, intensity 96.3; 2θ 44.76, intensity 58.9; 2θ 45.44, intensity 58.2; 2θ 15.52, intensity 52.8; 2θ 46.56, intensity 48.1; 2θ 66.57, intensity 33.7; 2θ 45.14, intensity 32.6

***

Entry 4:
# CaGa9Co2
Calculated PXRD pattern, Cu Kα (λ = 1.5418 Å). Input: a DFT-relaxed cell (PBE, Alexandria).

Cell and atoms:
Cell lengths 8.4039, 8.4039, 8.4039 Å; angles 99.06, 99.06, 133.25 degrees
Element x y z (fractional)
Ca 0.3750 0.6250 0.7500
Ca 0.6250 0.3750 0.2500
Ga 0.1229 0.5615 0.3209
Ga 0.1229 0.8019 0.5614
Ga 0.1250 0.8750 0.2500
Ga 0.1981 0.2595 0.3209
Ga 0.1981 0.8771 0.9386
Ga 0.2595 0.1981 0.8209
Ga 0.2595 0.4385 0.0614
Ga 0.4385 0.2595 0.5614
Ga 0.4385 0.8771 0.1791
Ga 0.5615 0.1229 0.8209
Ga 0.5615 0.7405 0.4386
Ga 0.7405 0.5615 0.9386
Ga 0.7405 0.8019 0.1791
Ga 0.8019 0.1229 0.0614
Ga 0.8019 0.7405 0.6791
Ga 0.8750 0.1250 0.7500
Ga 0.8771 0.1981 0.4386
Ga 0.8771 0.4385 0.6791
Co 0.0000 0.0000 0.0000
Co 0.0000 0.0000 0.5000
Co 0.0000 0.5000 0.0000
Co 0.5000 0.0000 0.5000

Most intense lines, 2θ from 5° to 70°, in order of falling intensity:
2θ 43.65, intensity 100.0; 2θ 37.51, intensity 73.2; 2θ 36.85, intensity 43.8; 2θ 46.11, intensity 28.6; 2θ 15.57, intensity 27.9; 2θ 44.81, intensity 24.8; 2θ 41.46, intensity 21.3; 2θ 66.81, intensity 16.8

***

Entry 5:
# CaCo9Ge4
Calculated PXRD pattern, Cu Kα (λ = 1.5418 Å). Input: a DFT-relaxed cell (PBE, Alexandria).

Cell and atoms:
Cell lengths 8.1270, 8.1270, 8.1270 Å; angles 122.09, 122.09, 86.42 degrees
Element x y z (fractional)
Ca 0.2500 0.2500 0.0000
Ca 0.7500 0.7500 0.0000
Co 0.0000 0.5000 0.5000
Co 0.0536 0.5536 0.2537
Co 0.0662 0.8017 0.8679
Co 0.1983 0.0662 0.2645
Co 0.2002 0.9464 0.5000
Co 0.2998 0.7998 0.7463
Co 0.3017 0.5662 0.8679
Co 0.4338 0.3017 0.7355
Co 0.4464 0.7002 0.5000
Co 0.5000 0.0000 0.5000
Co 0.5536 0.2998 0.5000
Co 0.5662 0.6983 0.2645
Co 0.6983 0.4338 0.1321
Co 0.7002 0.2002 0.2537
Co 0.7998 0.0536 0.5000
Co 0.8017 0.9338 0.7355
Co 0.9338 0.1983 0.1321
Co 0.9464 0.4464 0.7463
Ge 0.0456 0.2008 0.5000
Ge 0.2008 0.7008 0.1552
Ge 0.2992 0.4544 0.5000
Ge 0.4544 0.9544 0.1552
Ge 0.5456 0.0456 0.8448
Ge 0.7008 0.5456 0.5000
Ge 0.7992 0.2992 0.8448
Ge 0.9544 0.7992 0.5000

Most intense lines, 2θ from 5° to 70°, in order of falling intensity:
2θ 46.18, intensity 100.0; 2θ 39.27, intensity 89.0; 2θ 48.30, intensity 82.2; 2θ 47.60, intensity 74.5; 2θ 15.93, intensity 62.6; 2θ 47.74, intensity 55.0; 2θ 38.03, intensity 46.9; 2θ 49.12, intensity 41.7

***

Entry 6:
# CaCo12Ge6
Calculated PXRD pattern, Cu Kα (λ = 1.5418 Å). Input: a DFT-relaxed cell (PBE, Alexandria).

Cell and atoms:
Cell lengths 6.7032, 6.7032, 6.7032 Å; angles 104.94, 104.94, 104.94 degrees
Element x y z (fractional)
Ca 0.0000 0.0000 0.0000
Co 0.1277 0.5000 0.8723
Co 0.1277 0.8723 0.5000
Co 0.1916 0.4403 0.4403
Co 0.4403 0.1916 0.4403
Co 0.4403 0.4403 0.1916
Co 0.5000 0.1277 0.8723
Co 0.5000 0.8723 0.1277
Co 0.5597 0.5597 0.8084
Co 0.5597 0.8084 0.5597
Co 0.8084 0.5597 0.5597
Co 0.8723 0.1277 0.5000
Co 0.8723 0.5000 0.1277
Ge 0.2405 0.2405 0.6965
Ge 0.2405 0.6965 0.2405
Ge 0.3035 0.7595 0.7595
Ge 0.6965 0.2405 0.2405
Ge 0.7595 0.3035 0.7595
Ge 0.7595 0.7595 0.3035

Most intense lines, 2θ from 5° to 70°, in order of falling intensity:
2θ 36.92, intensity 100.0; 2θ 45.34, intensity 90.4; 2θ 44.76, intensity 71.1; 2θ 54.78, intensity 65.2; 2θ 14.58, intensity 50.5; 2θ 16.68, intensity 49.0; 2θ 44.32, intensity 44.6; 2θ 37.43, intensity 43.8

***

Entry 7:
# CaCo5Ge3
Calculated PXRD pattern, Cu Kα (λ = 1.5418 Å). Input: a DFT-relaxed cell (PBE, Alexandria).

Cell and atoms:
Cell lengths 6.4624, 6.4624, 11.1303 Å; angles 90.00, 90.00, 145.37 degrees
Element x y z (fractional)
Ca 0.1867 0.8133 0.7500
Ca 0.8133 0.1867 0.2500
Co 0.0000 0.0000 0.0000
Co 0.0000 0.0000 0.5000
Co 0.1889 0.8111 0.0590
Co 0.1889 0.8111 0.4410
Co 0.4530 0.5470 0.6407
Co 0.4530 0.5470 0.8593
Co 0.5470 0.4530 0.1407
Co 0.5470 0.4530 0.3593
Co 0.8111 0.1889 0.5590
Co 0.8111 0.1889 0.9410
Ge 0.1011 0.8989 0.2500
Ge 0.3740 0.6260 0.0510
Ge 0.3740 0.6260 0.4490
Ge 0.6260 0.3740 0.5510
Ge 0.6260 0.3740 0.9490
Ge 0.8989 0.1011 0.7500

Most intense lines, 2θ from 5° to 70°, in order of falling intensity:
2θ 47.25, intensity 100.0; 2θ 40.68, intensity 92.7; 2θ 46.68, intensity 91.6; 2θ 15.93, intensity 89.2; 2θ 34.36, intensity 86.3; 2θ 47.78, intensity 78.1; 2θ 16.43, intensity 59.1; 2θ 35.80, intensity 56.8

***

Entry 8:
# Ca2Co2Ge2N
Calculated PXRD pattern, Cu Kα (λ = 1.5418 Å). Input: a DFT-relaxed cell (PBE, Alexandria).

Cell and atoms:
Cell lengths 10.9167, 3.8931, 7.0030 Å; angles 90.00, 128.90, 90.00 degrees
Element x y z (fractional)
Ca 0.0606 0.0000 0.2864
Ca 0.4394 0.5000 0.7136
Ca 0.5606 0.5000 0.2864
Ca 0.9394 0.0000 0.7136
Co 0.1883 0.5000 0.0773
Co 0.3117 0.0000 0.9227
Co 0.6883 0.0000 0.0773
Co 0.8117 0.5000 0.9227
Ge 0.1613 0.5000 0.7109
Ge 0.3387 0.0000 0.2891
Ge 0.6613 0.0000 0.7109
Ge 0.8387 0.5000 0.2891
N 0.0000 0.5000 0.0000
N 0.5000 0.0000 0.0000

Most intense lines, 2θ from 5° to 70°, in order of falling intensity:
2θ 39.34, intensity 100.0; 2θ 35.95, intensity 69.0; 2θ 40.25, intensity 59.5; 2θ 46.66, intensity 50.3; 2θ 16.55, intensity 47.2; 2θ 33.90, intensity 45.8; 2θ 33.61, intensity 45.5; 2θ 63.31, intensity 41.6

***

Entry 9:
# CaCo2H8
Calculated PXRD pattern, Cu Kα (λ = 1.5418 Å). Input: a DFT-relaxed cell (PBE, Alexandria).

Cell and atoms:
Cell lengths 4.6482, 4.6482, 3.6025 Å; angles 90.07, 90.07, 115.69 degrees
Element x y z (fractional)
Ca 0.0000 0.0000 0.0000
Co 0.3238 0.6762 0.5000
Co 0.6762 0.3238 0.5000
H 0.0295 0.3270 0.5011
H 0.3124 0.6876 0.0000
H 0.3270 0.0295 0.5011
H 0.4973 0.4973 0.2650
H 0.5027 0.5027 0.7350
H 0.6730 0.9705 0.4989
H 0.6876 0.3124 0.0000
H 0.9705 0.6730 0.4989

Most intense lines, 2θ from 5° to 70°, in order of falling intensity:
2θ 32.79, intensity 100.0; 2θ 38.85, intensity 88.8; 2θ 33.73, intensity 68.6; 2θ 36.31, intensity 58.5; 2θ 24.71, intensity 42.2; 2θ 50.40, intensity 39.3; 2θ 65.65, intensity 34.8; 2θ 46.59, intensity 23.1

***

Entry 10:
# Ca5Co2H12
Calculated PXRD pattern, Cu Kα (λ = 1.5418 Å). Input: a DFT-relaxed cell (PBE, Alexandria).

Cell and atoms:
Cell lengths 6.4036, 6.4036, 7.1942 Å; angles 105.73, 105.73, 51.48 degrees
Element x y z (fractional)
Ca 0.0000 0.0000 0.0000
Ca 0.3062 0.3062 0.6533
Ca 0.3298 0.3298 0.1606
Ca 0.6702 0.6702 0.8394
Ca 0.6938 0.6938 0.3467
Co 0.2430 0.7570 0.5000
Co 0.7570 0.2430 0.5000
H 0.0012 0.0012 0.6470
H 0.0872 0.5910 0.9151
H 0.1080 0.5933 0.4267
H 0.4067 0.8920 0.5733
H 0.4090 0.9128 0.0849
H 0.4922 0.4922 0.6305
H 0.5078 0.5078 0.3695
H 0.5910 0.0872 0.9151
H 0.5933 0.1080 0.4267
H 0.8920 0.4067 0.5733
H 0.9128 0.4090 0.0849
H 0.9988 0.9988 0.3530

Most intense lines, 2θ from 5° to 70°, in order of falling intensity:
2θ 34.76, intensity 100.0; 2θ 29.58, intensity 99.3; 2θ 29.17, intensity 93.9; 2θ 35.14, intensity 63.6; 2θ 12.90, intensity 61.7; 2θ 36.20, intensity 39.6; 2θ 40.29, intensity 32.0; 2θ 17.36, intensity 31.4

***

Entry 11:
# Rb2CaCoH6
Calculated PXRD pattern, Cu Kα (λ = 1.5418 Å). Input: a DFT-relaxed cell (PBE, Alexandria).

Cell and atoms:
Cell lengths 6.1203, 6.1203, 5.6255 Å; angles 90.00, 90.00, 120.00 degrees
Element x y z (fractional)
Rb 0.3333 0.6667 0.1355
Rb 0.6667 0.3333 0.8645
Ca 0.0000 0.0000 0.5000
Co 0.0000 0.0000 0.0000
H 0.1219 0.2438 0.8380
H 0.1219 0.8781 0.8380
H 0.2438 0.1219 0.1620
H 0.7562 0.8781 0.8380
H 0.8781 0.1219 0.1620
H 0.8781 0.7562 0.1620

Most intense lines, 2θ from 5° to 70°, in order of falling intensity:
2θ 29.18, intensity 100.0; 2θ 23.06, intensity 64.4; 2θ 36.15, intensity 50.5; 2θ 15.75, intensity 37.3; 2θ 33.33, intensity 32.5; 2θ 56.39, intensity 26.6; 2θ 51.73, intensity 26.3; 2θ 47.12, intensity 24.4

***

Entry 12:
# CaCoHg
Calculated PXRD pattern, Cu Kα (λ = 1.5418 Å). Input: a DFT-relaxed cell (PBE, Alexandria).

Cell and atoms:
Cell lengths 4.3812, 4.5950, 13.4331 Å; angles 90.00, 90.00, 90.00 degrees
Element x y z (fractional)
Ca 0.0000 0.2500 0.1373
Ca 0.0000 0.7500 0.8627
Ca 0.5000 0.2500 0.3627
Ca 0.5000 0.7500 0.6373
Co 0.2500 0.2500 0.7500
Co 0.2500 0.7500 0.2500
Co 0.7500 0.2500 0.7500
Co 0.7500 0.7500 0.2500
Hg 0.0000 0.2500 0.5706
Hg 0.0000 0.7500 0.4294
Hg 0.5000 0.2500 0.9294
Hg 0.5000 0.7500 0.0706

Most intense lines, 2θ from 5° to 70°, in order of falling intensity:
2θ 31.19, intensity 100.0; 2θ 21.33, intensity 74.1; 2θ 38.83, intensity 48.4; 2θ 20.43, intensity 48.2; 2θ 39.07, intensity 47.6; 2θ 50.45, intensity 37.3; 2θ 39.21, intensity 32.2; 2θ 45.07, intensity 22.7

***

Please write out number 12 again, unchanged.
# CaCoHg
Calculated PXRD pattern, Cu Kα (λ = 1.5418 Å). Input: a DFT-relaxed cell (PBE, Alexandria).

Cell and atoms:
Cell lengths 4.3812, 4.5950, 13.4331 Å; angles 90.00, 90.00, 90.00 degrees
Element x y z (fractional)
Ca 0.0000 0.2500 0.1373
Ca 0.0000 0.7500 0.8627
Ca 0.5000 0.2500 0.3627
Ca 0.5000 0.7500 0.6373
Co 0.2500 0.2500 0.7500
Co 0.2500 0.7500 0.2500
Co 0.7500 0.2500 0.7500
Co 0.7500 0.7500 0.2500
Hg 0.0000 0.2500 0.5706
Hg 0.0000 0.7500 0.4294
Hg 0.5000 0.2500 0.9294
Hg 0.5000 0.7500 0.0706

Most intense lines, 2θ from 5° to 70°, in order of falling intensity:
2θ 31.19, intensity 100.0; 2θ 21.33, intensity 74.1; 2θ 38.83, intensity 48.4; 2θ 20.43, intensity 48.2; 2θ 39.07, intensity 47.6; 2θ 50.45, intensity 37.3; 2θ 39.21, intensity 32.2; 2θ 45.07, intensity 22.7